For Mg6MnCrO8, the PBE+U geometry in Alexandria gives the calculated powder diffractogram in this record (Cu Kα, 1.54184 Å).
Peak positions follow from Bragg's law for the DFT cell and can differ from measured ones.

Cell and atoms:
abc: 4.370 4.370 8.491
angles: 90.00 90.00 90.00
Space group P4/mmm (No. 123)
Asymmetric unit:
Mg (0.000, 0.000, 0.000) (multiplicity 1)
Mg (0.000, 0.500, 0.249) (multiplicity 4)
Mg (0.500, 0.500, 0.000) (multiplicity 1)
Mn (0.000, 0.000, 0.500) (multiplicity 1)
Cr (0.500, 0.500, 0.500) (multiplicity 1)
O (0.000, 0.000, 0.242) (multiplicity 2)
O (0.000, 0.500, 0.000) (multiplicity 2)
O (0.000, 0.500, 0.500) (multiplicity 2)
O (0.500, 0.500, 0.250) (multiplicity 2)

Main lines, by intensity (2θ = 15–90°):
41.33°, d 2.185, intensity 100
60.84°, d 1.522, intensity 54
42.59°, d 2.123, intensity 45
35.95°, d 2.498, intensity 34
59.87°, d 1.545, intensity 28
76.22°, d 1.249, intensity 25
71.85°, d 1.314, intensity 12
30.80°, d 2.903, intensity 10
89.78°, d 1.092, intensity 8
20.92°, d 4.246, intensity 7